1.
The following is a calculated powder XRD pattern of Ba7SrCu8O24. It was derived from DFT lattice parameters and positions (PBE), using a wavelength of 1.5418 Å.
No peak broadening, texture or thermal motion is included.

a = 7.996 Å, b = 7.996 Å, c = 7.996 Å
α = 90.00°, β = 90.00°, γ = 90.00°
Positions (direct):
Ba (0.000, 0.000, 0.000)
Ba (0.000, 0.000, 0.500)
Ba (0.000, 0.500, 0.000)
Ba (0.000, 0.500, 0.500)
Ba (0.500, 0.000, 0.000)
Ba (0.500, 0.000, 0.500)
Ba (0.500, 0.500, 0.000)
Sr (0.500, 0.500, 0.500)
Cu (0.250, 0.250, 0.250)
Cu (0.250, 0.250, 0.750)
Cu (0.250, 0.750, 0.250)
Cu (0.250, 0.750, 0.750)
Cu (0.750, 0.250, 0.250)
Cu (0.750, 0.250, 0.750)
Cu (0.750, 0.750, 0.250)
Cu (0.750, 0.750, 0.750)
O (0.000, 0.250, 0.250)
O (0.000, 0.250, 0.750)
O (0.000, 0.750, 0.250)
O (0.000, 0.750, 0.750)
O (0.250, 0.000, 0.250)
O (0.250, 0.000, 0.750)
O (0.250, 0.250, 0.000)
O (0.250, 0.750, 0.000)
O (0.255, 0.255, 0.500)
O (0.255, 0.500, 0.255)
O (0.255, 0.500, 0.745)
O (0.255, 0.745, 0.500)
O (0.500, 0.255, 0.255)
O (0.500, 0.255, 0.745)
O (0.500, 0.745, 0.255)
O (0.500, 0.745, 0.745)
O (0.745, 0.255, 0.500)
O (0.745, 0.500, 0.255)
O (0.745, 0.500, 0.745)
O (0.745, 0.745, 0.500)
O (0.750, 0.000, 0.250)
O (0.750, 0.000, 0.750)
O (0.750, 0.250, 0.000)
O (0.750, 0.750, 0.000)

Principal peaks in the range 2θ from 10° to 90°, low angle first:
2θ/deg, intensity
22.24, 6
31.65, 100
39.02, 13
45.37, 33
51.09, 3
56.37, 39
66.11, 20
75.15, 17
79.52, 4
83.82, 6

=====

2.
The following is a calculated powder XRD pattern of Ba3Sr5Tl5Cu3O19. It was derived from DFT lattice parameters and positions (PBE), using a wavelength of 1.5418 Å.
No peak broadening, texture or thermal motion is included.

a = 9.408 Å, b = 3.768 Å, c = 16.111 Å
α = 90.00°, β = 106.97°, γ = 90.00°
Positions (direct):
Ba (0.000, 0.000, 0.000)
Ba (0.124, 0.000, 0.254)
Ba (0.544, 0.000, 0.254)
Sr (0.248, 0.000, 0.500)
Sr (0.296, 0.000, 0.758)
Sr (0.413, 0.000, 0.001)
Sr (0.667, 0.000, 0.500)
Sr (0.877, 0.000, 0.758)
Tl (0.010, 0.500, 0.604)
Tl (0.534, 0.500, 0.653)
Tl (0.651, 0.500, 0.897)
Tl (0.764, 0.500, 0.123)
Tl (0.887, 0.500, 0.360)
Cu (0.154, 0.500, 0.876)
Cu (0.279, 0.500, 0.127)
Cu (0.399, 0.500, 0.381)
O (0.082, 0.500, 0.749)
O (0.120, 0.500, 0.390)
O (0.145, 0.000, 0.870)
O (0.221, 0.500, 0.000)
O (0.271, 0.500, 0.629)
O (0.275, 0.000, 0.123)
O (0.335, 0.500, 0.255)
O (0.402, 0.000, 0.389)
O (0.419, 0.500, 0.874)
O (0.461, 0.500, 0.509)
O (0.545, 0.500, 0.119)
O (0.571, 0.000, 0.732)
O (0.683, 0.500, 0.389)
O (0.694, 0.000, 0.996)
O (0.772, 0.500, 0.629)
O (0.836, 0.000, 0.261)
O (0.854, 0.500, 0.868)
O (0.970, 0.000, 0.526)
O (0.982, 0.500, 0.126)

Principal peaks in the range 2θ from 10° to 90°, low angle first:
2θ/deg, intensity
25.63, 24
27.72, 28
29.98, 84
30.39, 97
33.26, 100
38.27, 31
46.05, 27
51.59, 36
57.15, 25
57.91, 28

=====

3.
The following is a calculated powder XRD pattern of BaSrYCu4O8. It was derived from DFT lattice parameters and positions (PBE), using a wavelength of 1.5418 Å.
No peak broadening, texture or thermal motion is included.

a = 3.840 Å, b = 13.763 Å, c = 13.763 Å
α = 16.27°, β = 90.00°, γ = 90.00°
Positions (direct):
Ba (0.000, 0.000, 0.000)
Sr (0.000, 0.271, 0.271)
Y (0.000, 0.137, 0.137)
Cu (0.500, 0.423, 0.423)
Cu (0.500, 0.575, 0.575)
Cu (0.500, 0.700, 0.700)
Cu (0.500, 0.848, 0.848)
O (0.000, 0.585, 0.585)
O (0.000, 0.691, 0.691)
O (0.500, 0.085, 0.085)
O (0.500, 0.191, 0.191)
O (0.500, 0.353, 0.353)
O (0.500, 0.491, 0.491)
O (0.500, 0.780, 0.780)
O (0.500, 0.917, 0.917)

Principal peaks in the range 2θ from 10° to 90°, low angle first:
2θ/deg, intensity
30.48, 40
32.52, 100
32.92, 98
35.22, 64
46.66, 58
47.34, 34
58.61, 37
59.77, 27
61.26, 30
68.65, 33

=====

4.
The following is a calculated powder XRD pattern of BaSrY4Cu2O10. It was derived from DFT lattice parameters and positions (PBE), using a wavelength of 1.5418 Å.
No peak broadening, texture or thermal motion is included.

a = 5.689 Å, b = 7.216 Å, c = 12.204 Å
α = 90.00°, β = 90.00°, γ = 90.00°
Positions (direct):
Ba (0.000, 0.180, 0.000)
Ba (0.000, 0.820, 0.500)
Sr (0.500, 0.324, 0.185)
Sr (0.500, 0.676, 0.685)
Y (0.000, 0.355, 0.668)
Y (0.000, 0.363, 0.381)
Y (0.000, 0.637, 0.881)
Y (0.000, 0.645, 0.168)
Y (0.500, 0.137, 0.807)
Y (0.500, 0.146, 0.520)
Y (0.500, 0.854, 0.020)
Y (0.500, 0.863, 0.307)
Cu (0.000, 0.032, 0.255)
Cu (0.000, 0.968, 0.755)
Cu (0.500, 0.469, 0.932)
Cu (0.500, 0.531, 0.432)
O (0.000, 0.329, 0.193)
O (0.000, 0.671, 0.693)
O (0.243, 0.086, 0.662)
O (0.243, 0.914, 0.162)
O (0.247, 0.104, 0.367)
O (0.247, 0.896, 0.867)
O (0.257, 0.400, 0.819)
O (0.257, 0.415, 0.527)
O (0.257, 0.585, 0.027)
O (0.257, 0.600, 0.319)
O (0.500, 0.173, 0.999)
O (0.500, 0.827, 0.499)
O (0.743, 0.400, 0.819)
O (0.743, 0.415, 0.527)
O (0.743, 0.585, 0.027)
O (0.743, 0.600, 0.319)
O (0.753, 0.104, 0.367)
O (0.753, 0.896, 0.867)
O (0.757, 0.086, 0.662)
O (0.757, 0.914, 0.162)

Principal peaks in the range 2θ from 10° to 90°, low angle first:
2θ/deg, intensity
29.70, 100
30.23, 67
31.45, 49
31.84, 22
32.85, 18
40.31, 23
45.36, 39
51.99, 18
54.91, 17
61.27, 15

=====

5.
The following is a calculated powder XRD pattern of Ba2Sr2Y2Cu6O13. It was derived from DFT lattice parameters and positions (PBE), using a wavelength of 1.5418 Å.
No peak broadening, texture or thermal motion is included.

a = 12.401 Å, b = 12.373 Å, c = 5.469 Å
α = 77.53°, β = 76.96°, γ = 25.51°
Positions (direct):
Ba (0.242, 0.758, 0.758)
Ba (0.758, 0.242, 0.242)
Sr (0.052, 0.565, 0.948)
Sr (0.565, 0.052, 0.435)
Y (0.407, 0.908, 0.593)
Y (0.908, 0.407, 0.092)
Cu (0.149, 0.659, 0.341)
Cu (0.338, 0.835, 0.165)
Cu (0.478, 0.981, 0.019)
Cu (0.659, 0.149, 0.851)
Cu (0.835, 0.338, 0.662)
Cu (0.981, 0.478, 0.522)
O (0.095, 0.095, 0.905)
O (0.097, 0.097, 0.403)
O (0.105, 0.548, 0.452)
O (0.219, 0.219, 0.281)
O (0.219, 0.219, 0.781)
O (0.254, 0.709, 0.291)
O (0.548, 0.105, 0.895)
O (0.597, 0.597, 0.403)
O (0.597, 0.597, 0.903)
O (0.709, 0.254, 0.746)
O (0.719, 0.719, 0.781)
O (0.723, 0.723, 0.277)
O (0.900, 0.900, 0.100)

Principal peaks in the range 2θ from 10° to 90°, low angle first:
2θ/deg, intensity
32.32, 46
32.74, 100
40.21, 8
46.29, 7
46.42, 16
47.58, 15
57.91, 32
58.70, 16
68.66, 9
79.04, 7